(1)
Structure and computed X-ray powder pattern of V4GaIr5 (DFT lattice parameters and positions (GGA-PBE); λ = 1.5418 Å (Cu Kα)).

Main lines, by intensity (2θ from 10° to 90°):
| Position (°2θ) | d [Å] | Rel. int. |
| --- | --- | --- |
| 40.92 | 2.206 | 100.0 |
| 46.19 | 1.965 | 35.3 |
| 32.21 | 2.779 | 28.7 |
| 24.56 | 3.625 | 28.0 |
| 81.94 | 1.176 | 26.4 |
| 70.71 | 1.332 | 19.6 |
| 53.00 | 1.728 | 15.1 |
| 50.35 | 1.812 | 13.6 |
| 67.38 | 1.390 | 11.3 |
| 88.18 | 1.108 | 11.2 |
| 88.70 | 1.103 | 11.1 |
| 61.04 | 1.518 | 10.1 |

Structural model:
Unit cell a=2.7795 b=2.7795 c=18.1226 alpha=90.00 beta=90.00 gamma=90.00
Space group P4/mmm (No. 123)
Symmetry-distinct sites (fractional):
V (0.0000, 0.0000, 0.1006) (multiplicity 2)
V (0.0000, 0.0000, 0.3019) (multiplicity 2)
Ga (0.0000, 0.0000, 0.5000) (multiplicity 1)
Ir (0.5000, 0.5000, 0.0000) (multiplicity 1)
Ir (0.5000, 0.5000, 0.2001) (multiplicity 2)
Ir (0.5000, 0.5000, 0.3991) (multiplicity 2)

(2)
Structure and computed X-ray powder pattern of Y3Ga3Ir2 (DFT lattice parameters and positions (GGA-PBE); λ = 1.5418 Å (Cu Kα)).

Main lines, by intensity (2θ from 10° to 90°):
| Position (°2θ) | d [Å] | Rel. int. |
| --- | --- | --- |
| 36.61 | 2.455 | 100.0 |
| 38.36 | 2.347 | 99.9 |
| 34.32 | 2.613 | 61.5 |
| 41.61 | 2.170 | 61.3 |
| 37.74 | 2.383 | 53.8 |
| 32.85 | 2.726 | 49.2 |
| 35.67 | 2.517 | 48.2 |
| 66.33 | 1.409 | 44.7 |
| 19.36 | 4.585 | 43.3 |
| 41.94 | 2.154 | 33.2 |
| 59.79 | 1.547 | 29.4 |
| 23.58 | 3.773 | 28.0 |

Structural model:
Unit cell a=7.8912 b=15.0940 c=5.6338 alpha=90.00 beta=90.00 gamma=90.00
Space group Pnma (No. 62)
Symmetry-distinct sites (fractional):
Y (0.0400, 0.1091, 0.1142) (multiplicity 8)
Y (0.1784, 0.2500, 0.6333) (multiplicity 4)
Ga (0.1626, 0.7500, 0.6261) (multiplicity 4)
Ga (0.1786, 0.0373, 0.6059) (multiplicity 8)
Ir (0.1111, 0.6073, 0.3793) (multiplicity 8)

(3)
Structure and computed X-ray powder pattern of Y2Ga4Ir5 (DFT lattice parameters and positions (GGA-PBE); λ = 1.5418 Å (Cu Kα)).

Main lines, by intensity (2θ from 10° to 90°):
| Position (°2θ) | d [Å] | Rel. int. |
| --- | --- | --- |
| 36.95 | 2.433 | 100.0 |
| 44.32 | 2.044 | 90.9 |
| 39.82 | 2.264 | 88.8 |
| 30.27 | 2.953 | 66.6 |
| 18.67 | 4.753 | 64.7 |
| 37.11 | 2.423 | 53.4 |
| 45.10 | 2.010 | 53.0 |
| 48.31 | 1.884 | 44.4 |
| 62.33 | 1.490 | 43.9 |
| 37.86 | 2.377 | 38.4 |
| 23.61 | 3.768 | 33.4 |
| 67.77 | 1.383 | 32.9 |

Structural model:
Unit cell a=5.6641 b=9.5063 c=15.0724 alpha=90.00 beta=90.00 gamma=90.00
Space group Fmmm (No. 69)
Symmetry-distinct sites (fractional):
Y (0.0000, 0.0000, 0.1185) (multiplicity 8)
Ga (0.0000, 0.1562, 0.3688) (multiplicity 16)
Ir (0.0000, 0.0000, 0.5000) (multiplicity 4)
Ir (0.2500, 0.2500, 0.0000) (multiplicity 8)
Ir (0.2500, 0.2500, 0.2500) (multiplicity 8)

(4)
Structure and computed X-ray powder pattern of ZnGa4Ir (DFT lattice parameters and positions (GGA-PBE); λ = 1.5418 Å (Cu Kα)).

Main lines, by intensity (2θ from 10° to 90°):
| Position (°2θ) | d [Å] | Rel. int. |
| --- | --- | --- |
| 45.08 | 2.011 | 100.0 |
| 41.15 | 2.194 | 91.1 |
| 46.03 | 1.972 | 62.3 |
| 19.74 | 4.497 | 58.6 |
| 32.72 | 2.737 | 57.0 |
| 41.65 | 2.168 | 53.8 |
| 17.65 | 5.026 | 43.6 |
| 70.03 | 1.344 | 35.6 |
| 73.57 | 1.287 | 32.9 |
| 40.10 | 2.249 | 32.3 |
| 28.06 | 3.180 | 28.7 |
| 26.60 | 3.351 | 21.9 |

Structural model:
Unit cell a=6.3599 b=6.3599 c=10.0522 alpha=90.00 beta=90.00 gamma=90.00
Space group I4/mcm (No. 140)
Symmetry-distinct sites (fractional):
Zn (0.0000, 0.0000, 0.0000) (multiplicity 4)
Ga (0.1500, 0.3500, 0.1394) (multiplicity 16)
Ir (0.0000, 0.0000, 0.2500) (multiplicity 4)

(5)
Structure and computed X-ray powder pattern of ZnGa6Ir (DFT lattice parameters and positions (GGA-PBE); λ = 1.5418 Å (Cu Kα)).

Main lines, by intensity (2θ from 10° to 90°):
| Position (°2θ) | d [Å] | Rel. int. |
| --- | --- | --- |
| 26.73 | 3.336 | 100.0 |
| 40.06 | 2.251 | 83.3 |
| 42.75 | 2.115 | 65.9 |
| 41.89 | 2.157 | 42.1 |
| 41.56 | 2.173 | 37.5 |
| 27.73 | 3.217 | 28.6 |
| 27.51 | 3.242 | 23.4 |
| 17.11 | 5.183 | 23.1 |
| 21.00 | 4.231 | 18.3 |
| 68.60 | 1.368 | 16.4 |
| 36.53 | 2.460 | 13.2 |
| 51.91 | 1.761 | 12.8 |

Structural model:
Unit cell a=6.7844 b=8.6254 c=5.5289 alpha=90.00 beta=107.10 gamma=90.00
Space group C2/m (No. 12)
Symmetry-distinct sites (fractional):
Zn (0.0000, 0.0000, 0.0000) (multiplicity 2)
Ga (0.0853, 0.2844, 0.8027) (multiplicity 8)
Ga (0.1913, 0.0000, 0.6437) (multiplicity 4)
Ir (0.0000, 0.5000, 0.5000) (multiplicity 2)

(6)
Structure and computed X-ray powder pattern of Zn2Ga4Ir (DFT lattice parameters and positions (GGA-PBE); λ = 1.5418 Å (Cu Kα)).

Main lines, by intensity (2θ from 10° to 90°):
| Position (°2θ) | d [Å] | Rel. int. |
| --- | --- | --- |
| 33.20 | 2.699 | 100.0 |
| 35.49 | 2.529 | 85.7 |
| 42.08 | 2.147 | 69.5 |
| 25.68 | 3.469 | 46.2 |
| 19.42 | 4.570 | 45.2 |
| 46.74 | 1.943 | 44.9 |
| 54.62 | 1.680 | 33.5 |
| 69.69 | 1.349 | 30.0 |
| 51.93 | 1.761 | 29.1 |
| 39.44 | 2.285 | 24.5 |
| 52.77 | 1.735 | 21.5 |
| 49.95 | 1.826 | 21.1 |

Structural model:
Unit cell a=6.0732 b=6.0732 c=6.9384 alpha=90.00 beta=90.00 gamma=90.00
Space group I4/mmm (No. 139)
Symmetry-distinct sites (fractional):
Zn (0.0000, 0.5000, 0.2500) (multiplicity 4)
Ga (0.2135, 0.2135, 0.0000) (multiplicity 8)
Ir (0.0000, 0.0000, 0.5000) (multiplicity 2)

(7)
Structure and computed X-ray powder pattern of Zn8GaIr2 (DFT lattice parameters and positions (GGA-PBE); λ = 1.5418 Å (Cu Kα)).

Main lines, by intensity (2θ from 10° to 90°):
| Position (°2θ) | d [Å] | Rel. int. |
| --- | --- | --- |
| 40.83 | 2.210 | 100.0 |
| 41.43 | 2.179 | 84.6 |
| 43.21 | 2.094 | 45.4 |
| 43.01 | 2.103 | 44.9 |
| 14.10 | 6.281 | 40.5 |
| 22.55 | 3.943 | 31.8 |
| 62.60 | 1.484 | 29.4 |
| 21.12 | 4.206 | 24.7 |
| 86.08 | 1.130 | 22.1 |
| 25.49 | 3.495 | 22.1 |
| 47.14 | 1.928 | 19.5 |
| 77.34 | 1.234 | 17.2 |

Structural model:
Unit cell a=7.8851 b=10.3904 c=4.2063 alpha=90.00 beta=90.00 gamma=90.00
Space group Cmmm (No. 65)
Symmetry-distinct sites (fractional):
Zn (0.0000, 0.2481, 0.0000) (multiplicity 4)
Zn (0.1652, 0.5000, 0.0000) (multiplicity 4)
Zn (0.1699, 0.1402, 0.5000) (multiplicity 8)
Ga (0.0000, 0.0000, 0.0000) (multiplicity 2)
Ir (0.0000, 0.3743, 0.5000) (multiplicity 4)

(8)
Structure and computed X-ray powder pattern of Zn2Ga2Ir3 (DFT lattice parameters and positions (GGA-PBE); λ = 1.5418 Å (Cu Kα)).

Main lines, by intensity (2θ from 10° to 90°):
| Position (°2θ) | d [Å] | Rel. int. |
| --- | --- | --- |
| 42.11 | 2.146 | 100.0 |
| 43.00 | 2.103 | 53.9 |
| 13.03 | 6.793 | 32.1 |
| 43.14 | 2.097 | 26.8 |
| 61.88 | 1.499 | 18.2 |
| 29.79 | 2.999 | 17.8 |
| 39.36 | 2.289 | 17.6 |
| 25.51 | 3.491 | 15.8 |
| 77.73 | 1.229 | 14.1 |
| 24.35 | 3.656 | 14.0 |
| 76.93 | 1.239 | 11.2 |
| 77.56 | 1.231 | 9.4 |

Structural model:
Unit cell a=4.2890 b=4.2895 c=7.2239 alpha=89.85 beta=72.78 gamma=60.09
Space group P-1 (No. 2)
Symmetry-distinct sites (fractional):
Zn (0.2371, 0.1310, 0.3959) (multiplicity 2)
Ga (0.2757, 0.6128, 0.8362) (multiplicity 2)
Ir (0.0149, 0.7416, 0.2285) (multiplicity 2)
Ir (0.5000, 0.0000, 0.0000) (multiplicity 1)

(9)
Structure and computed X-ray powder pattern of Zr3Ga3Ir (DFT lattice parameters and positions (GGA-PBE); λ = 1.5418 Å (Cu Kα)).

Main lines, by intensity (2θ from 10° to 90°):
| Position (°2θ) | d [Å] | Rel. int. |
| --- | --- | --- |
| 37.04 | 2.427 | 100.0 |
| 35.57 | 2.524 | 78.2 |
| 41.03 | 2.200 | 34.1 |
| 44.32 | 2.044 | 29.5 |
| 48.89 | 1.863 | 28.2 |
| 31.77 | 2.817 | 26.2 |
| 13.15 | 6.733 | 25.6 |
| 32.42 | 2.762 | 20.8 |
| 68.11 | 1.377 | 18.7 |
| 21.74 | 4.088 | 17.8 |
| 40.42 | 2.232 | 16.8 |
| 48.15 | 1.890 | 15.8 |

Structural model:
Unit cell a=3.7255 b=10.2893 c=13.4659 alpha=90.00 beta=90.00 gamma=90.00
Space group Cmcm (No. 63)
Symmetry-distinct sites (fractional):
Zr (0.0000, 0.0060, 0.2500) (multiplicity 4)
Zr (0.0000, 0.3103, 0.0950) (multiplicity 8)
Ga (0.0000, 0.2592, 0.7500) (multiplicity 4)
Ga (0.0000, 0.4083, 0.6041) (multiplicity 8)
Ir (0.0000, 0.0000, 0.0000) (multiplicity 4)

(10)
Structure and computed X-ray powder pattern of ZrGa5Ir6 (DFT lattice parameters and positions (GGA-PBE); λ = 1.5418 Å (Cu Kα)).

Main lines, by intensity (2θ from 10° to 90°):
| Position (°2θ) | d [Å] | Rel. int. |
| --- | --- | --- |
| 40.33 | 2.236 | 100.0 |
| 43.18 | 2.095 | 41.9 |
| 77.26 | 1.235 | 22.2 |
| 30.16 | 2.963 | 19.4 |
| 71.33 | 1.322 | 17.6 |
| 62.71 | 1.482 | 13.7 |
| 26.14 | 3.409 | 13.3 |
| 87.18 | 1.118 | 10.6 |
| 53.79 | 1.704 | 10.3 |
| 51.18 | 1.785 | 9.0 |
| 77.19 | 1.236 | 7.3 |
| 62.91 | 1.477 | 4.4 |

Structural model:
Unit cell a=4.1889 b=6.8174 c=6.6250 alpha=90.00 beta=108.36 gamma=90.00
Space group P2/m (No. 10)
Symmetry-distinct sites (fractional):
Zr (0.0000, 0.0000, 0.0000) (multiplicity 1)
Ga (0.0000, 0.5000, 0.0000) (multiplicity 1)
Ga (0.3331, 0.0000, 0.6663) (multiplicity 2)
Ga (0.3340, 0.5000, 0.6689) (multiplicity 2)
Ir (0.1709, 0.2565, 0.3413) (multiplicity 4)
Ir (0.5000, 0.2696, 0.0000) (multiplicity 2)

(11)
Structure and computed X-ray powder pattern of ZrGa3Ir3 (DFT lattice parameters and positions (GGA-PBE); λ = 1.5418 Å (Cu Kα)).

Main lines, by intensity (2θ from 10° to 90°):
| Position (°2θ) | d [Å] | Rel. int. |
| --- | --- | --- |
| 32.74 | 2.736 | 100.0 |
| 50.99 | 1.791 | 57.1 |
| 29.81 | 2.997 | 52.9 |
| 46.97 | 1.934 | 46.8 |
| 18.73 | 4.738 | 43.3 |
| 26.60 | 3.351 | 42.8 |
| 54.80 | 1.675 | 35.5 |
| 81.20 | 1.185 | 22.6 |
| 78.12 | 1.223 | 16.1 |
| 61.93 | 1.498 | 15.8 |
| 49.01 | 1.859 | 14.0 |
| 65.31 | 1.429 | 13.5 |

Structural model:
Unit cell a=6.7010 b=6.7010 c=6.7010 alpha=90.00 beta=90.00 gamma=90.00
Space group Pm-3n (No. 223)
Symmetry-distinct sites (fractional):
Zr (0.0000, 0.0000, 0.0000) (multiplicity 2)
Ga (0.0000, 0.2500, 0.5000) (multiplicity 6)
Ir (0.0000, 0.5000, 0.2500) (multiplicity 6)

(12)
Structure and computed X-ray powder pattern of Zr3GaIr2 (DFT lattice parameters and positions (GGA-PBE); λ = 1.5418 Å (Cu Kα)).

Main lines, by intensity (2θ from 10° to 90°):
| Position (°2θ) | d [Å] | Rel. int. |
| --- | --- | --- |
| 38.02 | 2.367 | 100.0 |
| 40.38 | 2.234 | 36.8 |
| 41.92 | 2.155 | 27.2 |
| 21.73 | 4.089 | 19.0 |
| 71.86 | 1.314 | 15.2 |
| 36.52 | 2.460 | 14.6 |
| 34.43 | 2.605 | 11.7 |
| 42.31 | 2.136 | 11.0 |
| 70.38 | 1.338 | 10.8 |
| 24.97 | 3.566 | 10.3 |
| 45.19 | 2.007 | 9.9 |
| 35.37 | 2.538 | 9.6 |

Structural model:
Unit cell a=10.0213 b=4.4676 c=10.1511 alpha=90.00 beta=90.00 gamma=90.00
Space group Pnma (No. 62)
Symmetry-distinct sites (fractional):
Zr (0.0259, 0.2500, 0.1298) (multiplicity 4)
Zr (0.1484, 0.7500, 0.5925) (multiplicity 4)
Zr (0.2126, 0.2500, 0.8209) (multiplicity 4)
Ga (0.1323, 0.2500, 0.4052) (multiplicity 4)
Ir (0.0115, 0.7500, 0.3255) (multiplicity 4)
Ir (0.1727, 0.7500, 0.0669) (multiplicity 4)

(13)
Structure and computed X-ray powder pattern of Zr4GaIr (DFT lattice parameters and positions (GGA-PBE); λ = 1.5418 Å (Cu Kα)).

Main lines, by intensity (2θ from 10° to 90°):
| Position (°2θ) | d [Å] | Rel. int. |
| --- | --- | --- |
| 34.14 | 2.626 | 100.0 |
| 43.00 | 2.103 | 68.2 |
| 37.42 | 2.404 | 64.6 |
| 42.23 | 2.140 | 63.4 |
| 13.31 | 6.652 | 45.5 |
| 18.87 | 4.703 | 33.3 |
| 68.63 | 1.368 | 32.6 |
| 38.27 | 2.352 | 25.6 |
| 65.28 | 1.429 | 21.7 |
| 58.43 | 1.580 | 20.4 |
| 82.92 | 1.164 | 19.9 |
| 59.65 | 1.550 | 15.0 |

Structural model:
Unit cell a=6.6515 b=6.6515 c=5.5924 alpha=90.00 beta=90.00 gamma=90.00
Space group P4/mcc (No. 124)
Symmetry-distinct sites (fractional):
Zr (0.1565, 0.3327, 0.0000) (multiplicity 8)
Ga (0.5000, 0.5000, 0.2500) (multiplicity 2)
Ir (0.0000, 0.0000, 0.2500) (multiplicity 2)